No. 1
The following is a calculated powder diffraction line list of MgZn3S4. It was derived from a PBE-relaxed structure, using copper Kα.
Peak positions follow from Bragg's law for the DFT cell and can differ from measured ones.

Largest 12 diffraction maxima, in order of rising 2θ, 5 to 70 degrees two-theta:
hkl 1 0 0, 2θ 16.09, rel. 92; hkl 1 1 0, 2θ 22.83, rel. 67; hkl 1 1 1, 2θ 28.06, rel. 1000; hkl 2 0 0, 2θ 32.51, rel. 77; hkl 2 1 0, 2θ 36.47, rel. 33; hkl 2 1 1, 2θ 40.10, rel. 33; hkl 2 2 0, 2θ 46.64, rel. 635; hkl 2 2 1, 2θ 49.65, rel. 22; hkl 3 1 1, 2θ 55.31, rel. 407; hkl 2 2 2, 2θ 58.00, rel. 22; hkl 3 2 1, 2θ 63.15, rel. 15; hkl 4 0 0, 2θ 68.08, rel. 95

Crystal structure
Lattice parameters (Å, degrees): 5.5085 5.5085 5.5085 90.00 90.00 90.00
Space group P-43m (No. 215)
Symmetry-distinct sites (fractional):
1 Mg 0.0000 0.0000 0.0000 [1 per cell]
2 Zn 0.0000 0.5000 0.5000 [3 per cell]
3 S 0.2558 0.2558 0.2558 [4 per cell]

No. 2
The following is a calculated powder diffraction line list of P3IrRu3. It was derived from a PBE-relaxed structure, using copper Kα.
Peak positions follow from Bragg's law for the DFT cell and can differ from measured ones.

Largest 12 diffraction maxima, in order of rising 2θ, 5 to 70 degrees two-theta:
hkl 2 0 1, 2θ 17.95, rel. 413; hkl 2 0 3, 2θ 27.64, rel. 316; hkl 3 0 2, 2θ 28.82, rel. 556; hkl 2 1 0, 2θ 34.62, rel. 394; hkl 0 1 3, 2θ 37.81, rel. 1000; hkl 1 0 5, 2θ 38.24, rel. 588; hkl 1 1 3, 2θ 38.77, rel. 945; hkl 4 0 3, 2θ 40.16, rel. 622; hkl 2 1 3, 2θ 41.47, rel. 326; hkl 4 1 0, 2θ 45.46, rel. 557; hkl 6 0 2, 2θ 52.95, rel. 290; hkl 0 2 0, 2θ 63.02, rel. 292

Crystal structure
Lattice parameters (Å, degrees): 10.8327 2.9500 12.0562 90.00 90.00 90.00
Space group Pnma (No. 62)
Symmetry-distinct sites (fractional):
1 P 0.0367 0.2500 0.0922 [4 per cell]
2 P 0.1254 0.2500 0.5921 [4 per cell]
3 P 0.2160 0.7500 0.3426 [4 per cell]
4 Ir 0.0789 0.2500 0.7894 [4 per cell]
5 Ru 0.0660 0.2500 0.4075 [4 per cell]
6 Ru 0.1694 0.7500 0.9789 [4 per cell]
7 Ru 0.2278 0.2500 0.1751 [4 per cell]

No. 3
The following is a calculated powder diffraction line list of SmThCoPt. It was derived from a PBE-relaxed structure, using copper Kα.
Peak positions follow from Bragg's law for the DFT cell and can differ from measured ones.

Largest 12 diffraction maxima, in order of rising 2θ, 5 to 70 degrees two-theta:
hkl 1 0 0, 2θ 21.34, rel. 164; hkl 0 0 4, 2θ 31.84, rel. 381; hkl 1 1 1, 2θ 32.78, rel. 1000; hkl 0 1 3, 2θ 33.48, rel. 370; hkl 1 0 4, 2θ 38.65, rel. 226; hkl 1 1 3, 2θ 40.05, rel. 670; hkl 2 0 0, 2θ 43.46, rel. 261; hkl 0 2 0, 2θ 47.56, rel. 201; hkl 2 0 4, 2θ 54.88, rel. 166; hkl 2 1 3, 2θ 55.95, rel. 178; hkl 0 1 7, 2θ 62.75, rel. 145; hkl 2 2 0, 2θ 66.38, rel. 149

Crystal structure
Lattice parameters (Å, degrees): 4.1642 3.8236 11.2428 90.00 90.00 90.00
Space group Amm2 (No. 38)
Symmetry-distinct sites (fractional):
1 Sm 0.0000 0.0000 0.0000 [2 per cell]
2 Th 0.5000 0.0000 0.7219 [2 per cell]
3 Co 0.0000 0.0000 0.2566 [2 per cell]
4 Pt 0.5000 0.0000 0.4360 [2 per cell]